No. 1
Calculated powder diffractogram of GdSnAu for a wavelength of 1.5418 Å, from a DFT-relaxed cell (PBE, the Materials Project).
Neutral-atom scattering factors, no anomalous dispersion.

```
GdSnAu
1.0
4.7420 0.0000 0.0000
-2.3710 4.1067 0.0000
0.0000 0.0000 7.5109
Gd Sn Au
2 2 2
direct
0.0000 0.0000 0.0000
0.0000 0.0000 0.5000
0.3333 0.6667 0.2763
0.6667 0.3333 0.7763
0.3333 0.6667 0.6814
0.6667 0.3333 0.1814
```

Main lines, by angle (10 to 90 degrees two-theta):
2θ (°)	d (Å)	intensity
24.7	3.603	26
32.3	2.771	100
37.9	2.371	92
42.3	2.138	29
50.7	1.802	29
63.2	1.472	12
65.0	1.434	27
66.2	1.411	13
68.5	1.369	17
71.5	1.319	13

***

No. 2
Calculated powder diffractogram of GdSnAu for a wavelength of 1.5418 Å, from a DFT-relaxed cell (PBE, the Materials Project).
Neutral-atom scattering factors, no anomalous dispersion.

```
GdSnAu
1.0
0.0000 3.4018 3.4018
3.4018 0.0000 3.4018
3.4018 3.4018 0.0000
Gd Sn Au
1 1 1
direct
0.0000 0.0000 0.0000
0.5000 0.5000 0.5000
0.7500 0.7500 0.7500
```

Main lines, by angle (10 to 90 degrees two-theta):
2θ (°)	d (Å)	intensity
22.6	3.928	42
26.2	3.402	4
37.4	2.405	100
44.1	2.051	23
53.9	1.701	18
59.2	1.561	10
67.4	1.389	36
72.1	1.309	7
79.7	1.203	12
84.2	1.150	7

***

No. 3
Calculated powder diffractogram of GeAu3 for a wavelength of 1.5418 Å, from a DFT-relaxed cell (PBE, the Materials Project).
Neutral-atom scattering factors, no anomalous dispersion.

```
GeAu3
1.0
2.9603 0.0000 0.0000
-1.4801 2.5637 0.0000
0.0000 0.0000 9.6930
Ge Au
1 3
direct
0.0000 0.0000 0.0000
0.0000 0.0000 0.5000
0.6667 0.3333 0.2479
0.6667 0.3333 0.7521
```

Main lines, by angle (10 to 90 degrees two-theta):
2θ (°)	d (Å)	intensity
18.3	4.847	5
35.0	2.564	26
36.2	2.478	6
37.1	2.423	27
39.8	2.266	100
51.9	1.761	17
62.8	1.480	17
68.7	1.367	20
75.2	1.263	21
76.9	1.239	15

***

No. 4
Calculated powder diffractogram of Ge3Au for a wavelength of 1.5418 Å, from a DFT-relaxed cell (PBE, the Materials Project).
Neutral-atom scattering factors, no anomalous dispersion.

```
Ge3Au
1.0
-2.0824 2.0824 4.5198
2.0824 -2.0824 4.5198
2.0824 2.0824 -4.5198
Ge Au
3 1
direct
0.0000 0.0000 0.0000
0.2500 0.7500 0.5000
0.7500 0.2500 0.5000
0.5000 0.5000 0.0000
```

Main lines, by angle (10 to 90 degrees two-theta):
2θ (°)	d (Å)	intensity
19.6	4.520	9
23.5	3.783	25
36.4	2.467	100
39.9	2.260	19
43.5	2.082	30
60.5	1.531	23
63.1	1.473	10
70.2	1.341	15
75.1	1.264	24
77.3	1.234	12

***

No. 5
Calculated powder diffractogram of GeAu3 for a wavelength of 1.5418 Å, from a DFT-relaxed cell (PBE, the Materials Project).
Neutral-atom scattering factors, no anomalous dispersion.

```
GeAu3
1.0
5.7602 0.0000 0.0000
-2.8801 4.9885 0.0000
0.0000 0.0000 5.1632
Ge Au
2 6
direct
0.3333 0.6667 0.2500
0.6667 0.3333 0.7500
0.1663 0.3327 0.7500
0.1663 0.8337 0.7500
0.3327 0.1663 0.2500
0.6673 0.8337 0.7500
0.8337 0.1663 0.2500
0.8337 0.6673 0.2500
```

Main lines, by angle (10 to 90 degrees two-theta):
2θ (°)	d (Å)	intensity
24.8	3.588	11
31.1	2.880	4
34.7	2.582	33
36.0	2.494	22
40.2	2.246	100
50.9	1.794	17
64.7	1.440	17
65.9	1.417	23
75.6	1.258	21
79.0	1.212	14

***

No. 6
Calculated powder diffractogram of GeAu3 for a wavelength of 1.5418 Å, from a DFT-relaxed cell (PBE, the Materials Project).
Neutral-atom scattering factors, no anomalous dispersion.

```
GeAu3
1.0
0.0000 3.3309 3.3309
3.3309 0.0000 3.3309
3.3309 3.3309 0.0000
Ge Au
1 3
direct
0.0000 0.0000 0.0000
0.2500 0.2500 0.2500
0.5000 0.5000 0.5000
0.7500 0.7500 0.7500
```

Main lines, by angle (10 to 90 degrees two-theta):
2θ (°)	d (Å)	intensity
23.1	3.846	8
26.8	3.331	4
38.2	2.355	100
45.1	2.009	4
55.1	1.665	17
60.6	1.528	2
62.3	1.490	2
69.1	1.360	36
81.8	1.178	12
86.4	1.126	2

***

No. 7
Calculated powder diffractogram of K4Ge2Au7 for a wavelength of 1.5418 Å, from a DFT-relaxed cell (PBE, the Materials Project).
Neutral-atom scattering factors, no anomalous dispersion.

```
K4Ge2Au7
1.0
3.3054 1.9083 9.5128
-3.3054 1.9083 9.5128
0.0000 -3.8167 9.5128
K Ge Au
4 2 7
direct
0.1828 0.1828 0.1828
0.3110 0.3110 0.3110
0.6890 0.6890 0.6890
0.8172 0.8172 0.8172
0.0451 0.0451 0.0451
0.9549 0.9549 0.9549
0.2768 0.2768 0.7051
0.2768 0.7051 0.2768
0.2949 0.7232 0.7232
0.5000 0.5000 0.5000
0.7051 0.2768 0.2768
0.7232 0.2949 0.7232
0.7232 0.7232 0.2949
```

Main lines, by angle (10 to 90 degrees two-theta):
2θ (°)	d (Å)	intensity
15.8	5.613	24
16.7	5.313	100
18.7	4.756	51
31.9	2.807	43
33.0	2.714	39
33.7	2.657	87
37.8	2.378	18
40.4	2.233	31
44.8	2.022	37
55.6	1.653	23

***

No. 8
Calculated powder diffractogram of LaGeAu for a wavelength of 1.5418 Å, from a DFT-relaxed cell (PBE, the Materials Project).
Neutral-atom scattering factors, no anomalous dispersion.

```
LaGeAu
1.0
4.5561 0.0000 0.0000
-2.2780 3.9457 0.0000
0.0000 0.0000 8.1918
La Ge Au
2 2 2
direct
0.0000 0.0000 0.0000
0.0000 0.0000 0.5000
0.3333 0.6667 0.2687
0.6667 0.3333 0.7687
0.3333 0.6667 0.7400
0.6667 0.3333 0.2400
```

Main lines, by angle (10 to 90 degrees two-theta):
2θ (°)	d (Å)	intensity
25.1	3.555	27
31.5	2.842	100
39.6	2.278	62
40.2	2.245	10
44.2	2.048	14
51.4	1.777	25
60.8	1.523	33
66.8	1.401	23
71.8	1.315	11
88.3	1.107	12

***

No. 9
Calculated powder diffractogram of LiGeAu2 for a wavelength of 1.5418 Å, from a DFT-relaxed cell (PBE, the Materials Project).
Neutral-atom scattering factors, no anomalous dispersion.

```
LiGeAu2
1.0
0.0000 3.2343 3.2343
3.2343 0.0000 3.2343
3.2343 3.2343 0.0000
Li Ge Au
1 1 2
direct
0.0000 0.0000 0.0000
0.5000 0.5000 0.5000
0.2500 0.2500 0.2500
0.7500 0.7500 0.7500
```

Main lines, by angle (10 to 90 degrees two-theta):
2θ (°)	d (Å)	intensity
23.8	3.735	5
27.6	3.234	55
39.4	2.287	100
46.6	1.950	3
48.8	1.867	16
56.9	1.617	17
62.6	1.484	1
64.4	1.446	21
71.4	1.320	35
84.8	1.143	12

***

No. 10
Calculated powder diffractogram of LuGeAu for a wavelength of 1.5418 Å, from a DFT-relaxed cell (PBE, the Materials Project).
Neutral-atom scattering factors, no anomalous dispersion.

```
LuGeAu
1.0
4.4433 0.0000 0.0000
-2.2216 3.8480 0.0000
0.0000 0.0000 7.1685
Lu Ge Au
2 2 2
direct
0.0000 0.0000 0.0000
0.0000 0.0000 0.5000
0.3333 0.6667 0.2942
0.6667 0.3333 0.7942
0.3333 0.6667 0.6999
0.6667 0.3333 0.1999
```

Main lines, by angle (10 to 90 degrees two-theta):
2θ (°)	d (Å)	intensity
26.3	3.390	35
34.2	2.623	100
40.6	2.222	75
44.6	2.030	22
54.1	1.695	27
67.1	1.395	15
69.8	1.348	26
73.9	1.283	13
76.7	1.242	9
87.9	1.111	9

***

No. 11
Calculated powder diffractogram of NdGeAu for a wavelength of 1.5418 Å, from a DFT-relaxed cell (PBE, the Materials Project).
Neutral-atom scattering factors, no anomalous dispersion.

```
NdGeAu
1.0
4.5121 0.0000 0.0000
-2.2560 3.9076 0.0000
0.0000 0.0000 7.8742
Nd Ge Au
2 2 2
direct
0.0000 0.0000 0.0000
0.0000 0.0000 0.5000
0.3333 0.6667 0.2179
0.6667 0.3333 0.7179
0.3333 0.6667 0.7676
0.6667 0.3333 0.2676
```

Main lines, by angle (10 to 90 degrees two-theta):
2θ (°)	d (Å)	intensity
22.6	3.937	7
25.4	3.500	29
32.3	2.773	100
40.0	2.256	64
41.4	2.179	14
46.1	1.969	12
52.3	1.750	26
62.6	1.483	28
67.8	1.383	24
72.6	1.303	11

***

No. 12
Calculated powder diffractogram of NdGe2Au2 for a wavelength of 1.5418 Å, from a DFT-relaxed cell (PBE, the Materials Project).
Neutral-atom scattering factors, no anomalous dispersion.

```
NdGe2Au2
1.0
-2.2186 2.2186 5.3337
2.2186 -2.2186 5.3337
2.2186 2.2186 -5.3337
Nd Ge Au
1 2 2
direct
0.0000 0.0000 0.0000
0.3839 0.3839 0.0000
0.6161 0.6161 0.0000
0.2500 0.7500 0.5000
0.7500 0.2500 0.5000
```

Main lines, by angle (10 to 90 degrees two-theta):
2θ (°)	d (Å)	intensity
16.6	5.334	22
32.3	2.775	19
33.1	2.704	100
33.6	2.667	12
40.7	2.219	44
44.6	2.032	23
53.7	1.706	13
58.9	1.569	15
59.8	1.547	15
69.2	1.357	24